Rb2WCl5O: calculated powder diffraction line list (a wavelength of 1.5418 Å), based on a crystal structure in Alexandria, relaxed with PBE+U.
Lines closer than 0.1° are merged.

Structural model:
a = 7.2264 Å, b = 7.2264 Å, c = 10.1958 Å
α = 90.00°, β = 90.00°, γ = 90.00°
Space group I4mm (No. 107)
Unique sites:
Rb  0.0000  0.5000  0.0000 (multiplicity 4)
W  0.0000  0.0000  0.2334 (multiplicity 2)
Cl  0.0000  0.0000  0.4813 (multiplicity 2)
Cl  0.2380  0.2380  0.2520 (multiplicity 8)
O  0.0000  0.0000  0.0609 (multiplicity 2)

Most intense lines, 10° ≤ 2θ ≤ 80°, in order of rising 2θ:
- 15.0°, intensity 100, hkl 1 0 1
- 24.7°, intensity 98, hkl 1 1 2
- 29.0°, intensity 49, hkl 2 1 1
- 30.3°, intensity 17, hkl 2 0 2
- 35.2°, intensity 66, hkl 2 2 0
- 38.4°, intensity 18, hkl 3 0 1
- 43.4°, intensity 42, hkl 3 1 2
- 46.2°, intensity 17, hkl 3 2 1
- 50.6°, intensity 43, hkl 4 0 0
- 53.1°, intensity 22, hkl 4 1 1
- 63.1°, intensity 14, hkl 4 0 4
- 68.8°, intensity 15, hkl 5 1 2